Ba3Mg2MoO8: computed powder X-ray diffraction pattern (Cu Kα X-rays), based on the PBE+U geometry in Alexandria.

Peak list (10 most intense, 2θ from 10° to 90°, in order of falling intensity)
| 2θ/deg | I/Imax |
| --- | --- |
| 30.66 | 100 |
| 29.43 | 88 |
| 43.02 | 47 |
| 21.13 | 36 |
| 53.75 | 33 |
| 37.54 | 24 |
| 54.51 | 19 |
| 51.42 | 17 |
| 11.65 | 17 |
| 63.85 | 17 |

Structure:
a = 5.8314 Å, b = 5.8314 Å, c = 7.5942 Å
α = 90.00°, β = 90.00°, γ = 120.00°
Element x y z (fractional)
Ba 0.0000 0.0000 0.0000
Ba 0.3333 0.6667 0.6624
Ba 0.6667 0.3333 0.3376
Mg 0.3333 0.6667 0.2214
Mg 0.6667 0.3333 0.7786
Mo 0.0000 0.0000 0.5000
O 0.1570 0.3141 0.3485
O 0.1570 0.8430 0.3485
O 0.3141 0.1570 0.6515
O 0.3333 0.6667 0.9751
O 0.6667 0.3333 0.0249
O 0.6859 0.8430 0.3485
O 0.8430 0.1570 0.6515
O 0.8430 0.6859 0.6515